VFeCu2O4: computed powder XRD pattern (Cu Kα X-rays), based on a cell relaxed with GGA+U.

Cell: 11.7352 11.7352 11.7352 Å, 14.89 14.89 14.89°
Positions (direct):
V 0.0000 0.0000 0.0000
Fe 0.5000 0.5000 0.5000
Cu 0.2500 0.2500 0.2500
Cu 0.7500 0.7500 0.7500
O 0.1968 0.1968 0.1968
O 0.3032 0.3032 0.3032
O 0.6968 0.6968 0.6968
O 0.8032 0.8032 0.8032

Top 10 peaks for 2θ = 5–70°, sorted by position:
7.6°, 11.603 Å, intensity 1
30.8°, 2.901 Å, intensity 30
34.4°, 2.605 Å, intensity 11
35.6°, 2.521 Å, intensity 100
40.0°, 2.254 Å, intensity 37
47.0°, 1.934 Å, intensity 2
54.7°, 1.678 Å, intensity 31
60.9°, 1.521 Å, intensity 25
64.1°, 1.452 Å, intensity 24
69.8°, 1.347 Å, intensity 16


YFe4Cu3O12: computed powder XRD pattern (Cu Kα X-rays), based on a cell relaxed with GGA+U.

Cell: 6.4474 6.4474 6.4474 Å, 109.57 109.44 109.41°
Positions (direct):
Y 0.0000 0.0000 0.0000
Fe 0.0000 0.0000 0.5000
Fe 0.0000 0.5000 0.0000
Fe 0.5000 0.0000 0.0000
Fe 0.5000 0.5000 0.5000
Cu 0.0000 0.5000 0.5000
Cu 0.5000 0.0000 0.5000
Cu 0.5000 0.5000 0.0000
O 0.1426 0.8351 0.3074
O 0.1643 0.3080 0.4723
O 0.1643 0.6920 0.8563
O 0.3074 0.1424 0.8350
O 0.3074 0.4724 0.1650
O 0.4723 0.1649 0.3074
O 0.5277 0.8351 0.6926
O 0.6926 0.5276 0.8350
O 0.6926 0.8576 0.1650
O 0.8357 0.3080 0.1437
O 0.8357 0.6920 0.5277
O 0.8574 0.1649 0.6926

Top 9 peaks for 2θ = 5–70°, sorted by position:
16.8°, 5.264 Å, intensity 1
23.9°, 3.722 Å, intensity 1
34.1°, 2.632 Å, intensity 100
38.2°, 2.354 Å, intensity 6
42.0°, 2.149 Å, intensity 3
45.6°, 1.990 Å, intensity 4
48.9°, 1.861 Å, intensity 24
55.2°, 1.665 Å, intensity 1
61.0°, 1.520 Å, intensity 48


ZnFe4Cu3O12: computed powder XRD pattern (Cu Kα X-rays), based on a cell relaxed with GGA+U.

Cell: 6.4144 6.4144 6.4144 Å, 109.57 109.57 109.57°
Positions (direct):
Zn 0.0000 0.0000 0.0000
Fe 0.0000 0.0000 0.5000
Fe 0.0000 0.5000 0.0000
Fe 0.5000 0.0000 0.0000
Fe 0.5000 0.5000 0.5000
Cu 0.0000 0.5000 0.5000
Cu 0.5000 0.0000 0.5000
Cu 0.5000 0.5000 0.0000
O 0.1436 0.3113 0.8305
O 0.1657 0.4778 0.3097
O 0.1695 0.8564 0.6887
O 0.3097 0.1657 0.4778
O 0.3113 0.8305 0.1436
O 0.4778 0.3097 0.1657
O 0.5222 0.6903 0.8343
O 0.6887 0.1695 0.8564
O 0.6903 0.8343 0.5222
O 0.8305 0.1436 0.3113
O 0.8343 0.5222 0.6903
O 0.8564 0.6887 0.1695

Top 10 peaks for 2θ = 5–70°, sorted by position:
34.2°, 2.620 Å, intensity 100
34.3°, 2.611 Å, intensity 99
38.5°, 2.340 Å, intensity 12
42.3°, 2.138 Å, intensity 3
42.5°, 2.128 Å, intensity 1
45.9°, 1.979 Å, intensity 5
46.0°, 1.972 Å, intensity 2
49.3°, 1.849 Å, intensity 48
61.3°, 1.512 Å, intensity 72
61.6°, 1.506 Å, intensity 24


ZnFe2Cu2O8: computed powder XRD pattern (Cu Kα X-rays), based on a cell relaxed with GGA+U.

Cell: 6.4147 8.3031 11.9323 Å, 90.00 92.51 90.00°
Positions (direct):
Zn 0.1122 0.1574 0.0495
Zn 0.1122 0.3426 0.5495
Zn 0.8878 0.6574 0.4505
Zn 0.8878 0.8426 0.9505
Fe 0.1000 0.0422 0.3398
Fe 0.1000 0.4578 0.8398
Fe 0.3915 0.5934 0.3674
Fe 0.3915 0.9066 0.8674
Fe 0.6085 0.0934 0.1326
Fe 0.6085 0.4066 0.6326
Fe 0.9000 0.5422 0.1602
Fe 0.9000 0.9578 0.6602
Cu 0.2448 0.6893 0.6224
Cu 0.2448 0.8107 0.1224
Cu 0.3752 0.0566 0.6293
Cu 0.3752 0.4434 0.1293
Cu 0.6248 0.5566 0.8707
Cu 0.6248 0.9434 0.3707
Cu 0.7552 0.1893 0.8776
Cu 0.7552 0.3107 0.3776
O 0.0255 0.2382 0.3975
O 0.0255 0.2618 0.8975
O 0.0956 0.1076 0.6183
O 0.0956 0.3924 0.1183
O 0.1297 0.0255 0.1939
O 0.1297 0.4745 0.6939
O 0.1892 0.5786 0.4814
O 0.1892 0.9214 0.9814
O 0.3141 0.6290 0.2119
O 0.3141 0.8710 0.7119
O 0.3520 0.5179 0.8991
O 0.3520 0.9821 0.3991
O 0.4045 0.2367 0.0789
O 0.4045 0.2633 0.5789
O 0.4941 0.1123 0.8584
O 0.4941 0.3877 0.3584
O 0.5059 0.6123 0.6416
O 0.5059 0.8877 0.1416
O 0.5955 0.7367 0.4211
O 0.5955 0.7633 0.9211
O 0.6480 0.0179 0.6009
O 0.6480 0.4821 0.1009
O 0.6859 0.1290 0.2881
O 0.6859 0.3710 0.7881
O 0.8108 0.0786 0.0186
O 0.8108 0.4214 0.5186
O 0.8703 0.5255 0.3061
O 0.8703 0.9745 0.8061
O 0.9044 0.6076 0.8817
O 0.9044 0.8924 0.3817
O 0.9745 0.7382 0.1025
O 0.9745 0.7618 0.6025

Top 10 peaks for 2θ = 5–70°, sorted by position:
19.9°, 4.463 Å, intensity 53
24.8°, 3.584 Å, intensity 29
29.4°, 3.040 Å, intensity 34
30.0°, 2.982 Å, intensity 100
30.5°, 2.928 Å, intensity 42
31.1°, 2.872 Å, intensity 63
33.2°, 2.696 Å, intensity 56
34.6°, 2.589 Å, intensity 38
43.8°, 2.068 Å, intensity 31
57.8°, 1.596 Å, intensity 32


Mn2Cu5P4H2O18: computed powder XRD pattern (Cu Kα X-rays), based on a cell relaxed with GGA+U.

Cell: 5.4287 7.6334 8.9829 Å, 108.49 95.61 101.86°
Positions (direct):
Mn 0.0480 0.2893 0.4802
Mn 0.9520 0.7107 0.5198
Cu 0.2279 0.8946 0.9965
Cu 0.2604 0.5300 0.1178
Cu 0.5000 0.0000 0.5000
Cu 0.7396 0.4700 0.8822
Cu 0.7721 0.1054 0.0035
P 0.1597 0.1560 0.7640
P 0.4983 0.2880 0.3029
P 0.5017 0.7120 0.6971
P 0.8403 0.8440 0.2360
H 0.1662 0.5571 0.8464
H 0.8338 0.4429 0.1536
O 0.0310 0.7511 0.3040
O 0.0320 0.0515 0.8709
O 0.1068 0.6192 0.9454
O 0.2207 0.9947 0.6248
O 0.2232 0.5931 0.6221
O 0.3212 0.4148 0.2796
O 0.3823 0.1946 0.4212
O 0.4034 0.3083 0.8624
O 0.4929 0.8681 0.8568
O 0.5071 0.1319 0.1432
O 0.5966 0.6917 0.1376
O 0.6177 0.8054 0.5788
O 0.6788 0.5852 0.7204
O 0.7768 0.4069 0.3779
O 0.7793 0.0053 0.3752
O 0.8932 0.3808 0.0546
O 0.9680 0.9485 0.1291
O 0.9690 0.2489 0.6960

Top 10 peaks for 2θ = 5–70°, sorted by position:
21.2°, 4.193 Å, intensity 25
26.9°, 3.314 Å, intensity 21
28.3°, 3.150 Å, intensity 24
28.9°, 3.092 Å, intensity 91
29.3°, 3.048 Å, intensity 59
30.5°, 2.931 Å, intensity 100
30.9°, 2.896 Å, intensity 18
32.0°, 2.795 Å, intensity 18
33.4°, 2.681 Å, intensity 27
34.1°, 2.631 Å, intensity 41